No. 1
# CaRhCl2
Computed powder diffractogram, Cu Ka. Input: DFT lattice parameters and positions (GGA-PBE).
No peak broadening, texture or thermal motion is included.

Atomic structure:
a = 12.2636 Å, b = 3.5502 Å, c = 4.9834 Å
α = 90.00°, β = 91.80°, γ = 90.00°
Fractional positions:
Ca (0.0000, 0.0000, 0.0000)
Ca (0.5000, 0.5000, 0.0000)
Rh (0.0000, 0.5000, 0.5000)
Rh (0.5000, 0.0000, 0.5000)
Cl (0.1482, 0.5000, 0.2220)
Cl (0.3518, 0.0000, 0.7780)
Cl (0.6482, 0.0000, 0.2220)
Cl (0.8518, 0.5000, 0.7780)

Main lines, by intensity (15° ≤ 2θ ≤ 90°):
31.93 deg, I 100
23.37 deg, I 54
38.47 deg, I 51
26.13 deg, I 50
48.23 deg, I 36
37.79 deg, I 30
38.59 deg, I 27
44.34 deg, I 20
31.67 deg, I 18
47.78 deg, I 18
61.95 deg, I 16
46.25 deg, I 16

---

No. 2
# ThMo2Se4Br2
Computed powder diffractogram, Cu Ka. Input: DFT lattice parameters and positions (GGA-PBE).
No peak broadening, texture or thermal motion is included.

Atomic structure:
a = 3.4525 Å, b = 3.4525 Å, c = 23.0069 Å
α = 90.00°, β = 90.00°, γ = 120.00°
Fractional positions:
Th (0.0000, 0.0000, 0.0000)
Mo (0.0000, 0.0000, 0.6455)
Mo (0.6667, 0.3333, 0.3378)
Se (0.0000, 0.0000, 0.2670)
Se (0.0000, 0.0000, 0.4087)
Se (0.6667, 0.3333, 0.5746)
Se (0.6667, 0.3333, 0.7163)
Br (0.6667, 0.3333, 0.0983)
Br (0.6667, 0.3333, 0.9017)

Main lines, by intensity (15° ≤ 2θ ≤ 90°):
35.82 deg, I 100
29.88 deg, I 59
43.67 deg, I 54
32.13 deg, I 47
53.05 deg, I 46
33.79 deg, I 40
38.17 deg, I 29
40.80 deg, I 21
54.49 deg, I 20
65.67 deg, I 17
89.25 deg, I 16
30.90 deg, I 13

---

No. 3
# Ca3Sn2P2Pd4
Computed powder diffractogram, Cu Ka. Input: DFT lattice parameters and positions (GGA-PBE).
No peak broadening, texture or thermal motion is included.

Atomic structure:
a = 4.4133 Å, b = 4.4133 Å, c = 13.5305 Å
α = 90.00°, β = 90.00°, γ = 120.00°
Fractional positions:
Ca (0.0000, 0.0000, 0.0000)
Ca (0.0000, 0.0000, 0.2589)
Ca (0.0000, 0.0000, 0.7411)
Sn (0.3333, 0.6667, 0.5645)
Sn (0.6667, 0.3333, 0.4355)
P (0.3333, 0.6667, 0.1541)
P (0.6667, 0.3333, 0.8459)
Pd (0.3333, 0.6667, 0.3600)
Pd (0.3333, 0.6667, 0.8640)
Pd (0.6667, 0.3333, 0.1360)
Pd (0.6667, 0.3333, 0.6400)

Main lines, by intensity (15° ≤ 2θ ≤ 90°):
40.89 deg, I 100
35.44 deg, I 74
46.77 deg, I 32
23.27 deg, I 29
30.66 deg, I 27
26.79 deg, I 25
55.21 deg, I 20
70.94 deg, I 19
24.20 deg, I 16
49.31 deg, I 16
88.61 deg, I 16
74.40 deg, I 15

---

No. 4
# CsAcP2S8
Computed powder diffractogram, Cu Ka. Input: DFT lattice parameters and positions (GGA-PBE).
No peak broadening, texture or thermal motion is included.

Atomic structure:
a = 6.3470 Å, b = 6.3470 Å, c = 10.2287 Å
α = 90.00°, β = 90.00°, γ = 120.00°
Fractional positions:
Cs (0.0000, 0.0000, 0.0000)
Ac (0.0000, 0.0000, 0.5000)
P (0.3333, 0.6667, 0.7292)
P (0.6667, 0.3333, 0.2708)
S (0.0010, 0.6078, 0.3292)
S (0.3333, 0.6667, 0.9273)
S (0.3922, 0.3932, 0.3292)
S (0.3932, 0.0010, 0.6708)
S (0.6068, 0.9990, 0.3292)
S (0.6078, 0.6068, 0.6708)
S (0.6667, 0.3333, 0.0727)
S (0.9990, 0.3922, 0.6708)

Main lines, by intensity (15° ≤ 2θ ≤ 90°):
23.76 deg, I 100
16.12 deg, I 47
33.22 deg, I 46
28.12 deg, I 34
47.22 deg, I 30
38.83 deg, I 28
45.56 deg, I 23
32.58 deg, I 22
18.32 deg, I 21
37.14 deg, I 21
49.76 deg, I 16
63.70 deg, I 16

---

No. 5
# Dy4TcSb
Computed powder diffractogram, Cu Ka. Input: DFT lattice parameters and positions (GGA-PBE).
No peak broadening, texture or thermal motion is included.

Atomic structure:
a = 8.0347 Å, b = 4.2682 Å, c = 18.7544 Å
α = 90.00°, β = 90.00°, γ = 90.00°
Fractional positions:
Dy (0.0003, 0.2500, 0.0651)
Dy (0.9997, 0.7500, 0.9349)
Dy (0.0568, 0.2500, 0.7888)
Dy (0.1227, 0.2500, 0.3582)
Dy (0.1472, 0.2500, 0.5486)
Dy (0.3528, 0.7500, 0.0486)
Dy (0.3773, 0.7500, 0.8582)
Dy (0.4432, 0.7500, 0.2888)
Dy (0.5003, 0.2500, 0.4349)
Dy (0.4997, 0.7500, 0.5651)
Dy (0.5568, 0.2500, 0.7112)
Dy (0.6227, 0.2500, 0.1418)
Dy (0.6472, 0.2500, 0.9514)
Dy (0.8528, 0.7500, 0.4514)
Dy (0.8773, 0.7500, 0.6418)
Dy (0.9432, 0.7500, 0.2112)
Tc (0.2451, 0.2500, 0.9398)
Tc (0.2549, 0.7500, 0.4398)
Tc (0.7451, 0.2500, 0.5602)
Tc (0.7549, 0.7500, 0.0602)
Sb (0.2465, 0.2500, 0.1931)
Sb (0.2535, 0.7500, 0.6931)
Sb (0.7465, 0.2500, 0.3069)
Sb (0.7535, 0.7500, 0.8069)

Main lines, by intensity (15° ≤ 2θ ≤ 90°):
30.43 deg, I 100
33.83 deg, I 80
30.56 deg, I 53
42.35 deg, I 45
33.78 deg, I 41
31.76 deg, I 32
32.66 deg, I 30
38.72 deg, I 29
35.31 deg, I 27
56.27 deg, I 24
39.05 deg, I 20
58.72 deg, I 17

---

No. 6
# Ge3Rh2Se3
Computed powder diffractogram, Cu Ka. Input: DFT lattice parameters and positions (GGA-PBE).
No peak broadening, texture or thermal motion is included.

Atomic structure:
a = 8.6586 Å, b = 8.6586 Å, c = 8.6586 Å
α = 89.84°, β = 89.84°, γ = 89.84°
Fractional positions:
Ge (0.0019, 0.6646, 0.1521)
Ge (0.1521, 0.0019, 0.6646)
Ge (0.1652, 0.3484, 0.5020)
Ge (0.3354, 0.8479, 0.9981)
Ge (0.3484, 0.5020, 0.1652)
Ge (0.4980, 0.8348, 0.6516)
Ge (0.5020, 0.1652, 0.3484)
Ge (0.6516, 0.4980, 0.8348)
Ge (0.6646, 0.1521, 0.0019)
Ge (0.8348, 0.6516, 0.4980)
Ge (0.8479, 0.9981, 0.3354)
Ge (0.9981, 0.3354, 0.8479)
Rh (0.2469, 0.2517, 0.7505)
Rh (0.2495, 0.7531, 0.7483)
Rh (0.2520, 0.2520, 0.2520)
Rh (0.2517, 0.7505, 0.2469)
Rh (0.7483, 0.2495, 0.7531)
Rh (0.7480, 0.7480, 0.7480)
Rh (0.7505, 0.2469, 0.2517)
Rh (0.7531, 0.7483, 0.2495)
Se (0.0032, 0.3530, 0.1425)
Se (0.1425, 0.0032, 0.3530)
Se (0.1472, 0.6431, 0.4997)
Se (0.3530, 0.1425, 0.0032)
Se (0.3569, 0.5003, 0.8528)
Se (0.4997, 0.1472, 0.6431)
Se (0.5003, 0.8528, 0.3569)
Se (0.6431, 0.4997, 0.1472)
Se (0.6470, 0.8575, 0.9968)
Se (0.8528, 0.3569, 0.5003)
Se (0.8575, 0.9968, 0.6470)
Se (0.9968, 0.6470, 0.8575)

Main lines, by intensity (15° ≤ 2θ ≤ 90°):
32.71 deg, I 100
46.87 deg, I 34
46.98 deg, I 34
20.51 deg, I 33
51.76 deg, I 30
29.17 deg, I 18
54.07 deg, I 17
53.93 deg, I 17
38.87 deg, I 14
38.97 deg, I 14
25.19 deg, I 13
51.59 deg, I 10

---

No. 7
# LaAgPd6
Computed powder diffractogram, Cu Ka. Input: DFT lattice parameters and positions (GGA-PBE).
No peak broadening, texture or thermal motion is included.

Atomic structure:
a = 5.2374 Å, b = 5.2374 Å, c = 5.2374 Å
α = 90.00°, β = 90.00°, γ = 90.00°
Fractional positions:
La (0.0000, 0.0000, 0.0000)
Ag (0.5000, 0.5000, 0.5000)
Pd (0.0000, 0.2553, 0.5000)
Pd (0.0000, 0.7447, 0.5000)
Pd (0.2553, 0.5000, 0.0000)
Pd (0.5000, 0.0000, 0.2553)
Pd (0.5000, 0.0000, 0.7447)
Pd (0.7447, 0.5000, 0.0000)

Main lines, by intensity (15° ≤ 2θ ≤ 90°):
38.43 deg, I 100
42.27 deg, I 88
66.84 deg, I 44
34.24 deg, I 40
64.11 deg, I 22
84.84 deg, I 20
72.14 deg, I 16
82.34 deg, I 12
87.32 deg, I 11
61.31 deg, I 7
24.03 deg, I 1
29.54 deg, I 1

---

No. 8
# LaTiSe2O
Computed powder diffractogram, Cu Ka. Input: DFT lattice parameters and positions (GGA-PBE).
No peak broadening, texture or thermal motion is included.

Atomic structure:
a = 3.9249 Å, b = 3.9249 Å, c = 13.7078 Å
α = 90.00°, β = 90.00°, γ = 90.00°
Fractional positions:
La (0.2500, 0.2500, 0.0946)
La (0.7500, 0.7500, 0.9054)
Ti (0.2500, 0.2500, 0.6004)
Ti (0.7500, 0.7500, 0.3996)
Se (0.2500, 0.2500, 0.4078)
Se (0.2500, 0.2500, 0.7779)
Se (0.7500, 0.7500, 0.2221)
Se (0.7500, 0.7500, 0.5922)
O (0.2500, 0.7500, 0.0000)
O (0.7500, 0.2500, 0.0000)

Main lines, by intensity (15° ≤ 2θ ≤ 90°):
30.01 deg, I 100
32.25 deg, I 79
46.26 deg, I 34
56.13 deg, I 34
51.83 deg, I 32
34.75 deg, I 16
41.89 deg, I 15
62.38 deg, I 15
39.44 deg, I 15
89.96 deg, I 13
26.16 deg, I 13
76.80 deg, I 13

---

No. 9
# Mg5Ir
Computed powder diffractogram, Cu Ka. Input: DFT lattice parameters and positions (GGA-PBE).
No peak broadening, texture or thermal motion is included.

Atomic structure:
a = 4.7343 Å, b = 3.0973 Å, c = 16.0784 Å
α = 90.00°, β = 90.00°, γ = 90.00°
Fractional positions:
Mg (0.0000, 0.0000, 0.0000)
Mg (0.0000, 0.0000, 0.2864)
Mg (0.0000, 0.5000, 0.5000)
Mg (0.0000, 0.5000, 0.7864)
Mg (0.5000, 0.0000, 0.0989)
Mg (0.5000, 0.0000, 0.4172)
Mg (0.5000, 0.0000, 0.7464)
Mg (0.5000, 0.5000, 0.2464)
Mg (0.5000, 0.5000, 0.5989)
Mg (0.5000, 0.5000, 0.9172)
Ir (0.0000, 0.0000, 0.6454)
Ir (0.0000, 0.5000, 0.1454)

Main lines, by intensity (15° ≤ 2θ ≤ 90°):
38.59 deg, I 100
21.79 deg, I 56
33.42 deg, I 40
18.74 deg, I 35
35.07 deg, I 28
44.92 deg, I 26
51.50 deg, I 24
38.01 deg, I 23
29.37 deg, I 22
22.11 deg, I 21
59.73 deg, I 19
69.06 deg, I 18

---

No. 10
# MgZr5
Computed powder diffractogram, Cu Ka. Input: DFT lattice parameters and positions (GGA-PBE).
No peak broadening, texture or thermal motion is included.

Atomic structure:
a = 11.8142 Å, b = 3.1696 Å, c = 7.6292 Å
α = 90.00°, β = 104.26°, γ = 90.00°
Fractional positions:
Mg (0.0000, 0.0000, 0.0000)
Mg (0.5000, 0.5000, 0.0000)
Zr (0.1039, 0.5000, 0.7110)
Zr (0.1635, 0.5000, 0.3217)
Zr (0.2749, 0.0000, 0.0456)
Zr (0.3235, 0.0000, 0.6628)
Zr (0.4377, 0.5000, 0.3847)
Zr (0.6039, 0.0000, 0.7110)
Zr (0.6635, 0.0000, 0.3217)
Zr (0.7749, 0.5000, 0.0456)
Zr (0.8235, 0.5000, 0.6628)
Zr (0.9377, 0.0000, 0.3847)

Main lines, by intensity (15° ≤ 2θ ≤ 90°):
36.89 deg, I 100
34.58 deg, I 39
36.45 deg, I 26
36.34 deg, I 26
32.44 deg, I 25
57.17 deg, I 18
48.14 deg, I 16
70.63 deg, I 14
69.49 deg, I 13
31.89 deg, I 13
68.45 deg, I 10
68.67 deg, I 10

---

No. 11
# K12HAu6
Computed powder diffractogram, Cu Ka. Input: DFT lattice parameters and positions (GGA-PBE).
No peak broadening, texture or thermal motion is included.

Atomic structure:
a = 9.3649 Å, b = 9.3649 Å, c = 9.3649 Å
α = 99.06°, β = 99.06°, γ = 99.06°
Fractional positions:
K (0.0144, 0.9363, 0.6907)
K (0.0637, 0.3093, 0.9856)
K (0.1814, 0.5734, 0.4310)
K (0.3093, 0.9856, 0.0637)
K (0.4266, 0.5690, 0.8186)
K (0.4310, 0.1814, 0.5734)
K (0.5690, 0.8186, 0.4266)
K (0.5734, 0.4310, 0.1814)
K (0.6907, 0.0144, 0.9363)
K (0.8186, 0.4266, 0.5690)
K (0.9363, 0.6907, 0.0144)
K (0.9856, 0.0637, 0.3093)
H (0.0000, 0.0000, 0.0000)
Au (0.1267, 0.2947, 0.6431)
Au (0.2947, 0.6431, 0.1267)
Au (0.3569, 0.8733, 0.7053)
Au (0.6431, 0.1267, 0.2947)
Au (0.7053, 0.3569, 0.8733)
Au (0.8733, 0.7053, 0.3569)

Main lines, by intensity (15° ≤ 2θ ≤ 90°):
20.16 deg, I 100
26.88 deg, I 42
32.88 deg, I 41
19.84 deg, I 36
33.27 deg, I 32
23.48 deg, I 31
29.29 deg, I 30
37.53 deg, I 26
23.22 deg, I 23
34.38 deg, I 21
39.04 deg, I 19
50.49 deg, I 18

---

No. 12
# TbPm4NdSm2
Computed powder diffractogram, Cu Ka. Input: DFT lattice parameters and positions (GGA-PBE).
No peak broadening, texture or thermal motion is included.

Atomic structure:
a = 9.6043 Å, b = 9.6043 Å, c = 6.9275 Å
α = 111.03°, β = 111.03°, γ = 88.16°
Fractional positions:
Tb (0.0000, 0.0000, 0.0000)
Tb (0.0000, 0.0000, 0.5000)
Pm (0.2455, 0.7495, 0.9974)
Pm (0.2479, 0.2492, 0.4546)
Pm (0.2492, 0.2479, 0.9546)
Pm (0.2505, 0.7545, 0.5026)
Pm (0.7495, 0.2455, 0.4974)
Pm (0.7508, 0.7521, 0.0454)
Pm (0.7521, 0.7508, 0.5454)
Pm (0.7545, 0.2505, 0.0026)
Nd (0.0000, 0.5000, 0.0000)
Nd (0.5000, 0.0000, 0.5000)
Sm (0.0000, 0.5000, 0.5000)
Sm (0.5000, 0.0000, 0.0000)
Sm (0.5000, 0.5000, 0.0000)
Sm (0.5000, 0.5000, 0.5000)

Main lines, by intensity (15° ≤ 2θ ≤ 90°):
40.46 deg, I 100
29.81 deg, I 74
26.68 deg, I 53
29.90 deg, I 40
60.23 deg, I 18
63.79 deg, I 17
52.91 deg, I 13
60.40 deg, I 10
63.84 deg, I 9
79.80 deg, I 8
68.83 deg, I 8
53.10 deg, I 7

---

No. 13
# Bi
Computed powder diffractogram, Cu Ka. Input: DFT lattice parameters and positions (GGA-PBE).
No peak broadening, texture or thermal motion is included.

Atomic structure:
a = 6.4765 Å, b = 6.6823 Å, c = 12.9191 Å
α = 90.00°, β = 90.00°, γ = 90.00°
Fractional positions:
Bi (0.2466, 0.0656, 0.4963)
Bi (0.2482, 0.0544, 0.2456)
Bi (0.2480, 0.5298, 0.5334)
Bi (0.2486, 0.4087, 0.7823)
Bi (0.2514, 0.5913, 0.2823)
Bi (0.2520, 0.4702, 0.0334)
Bi (0.2518, 0.9456, 0.7456)
Bi (0.2534, 0.9344, 0.9963)
Bi (0.7466, 0.4344, 0.5037)
Bi (0.7482, 0.4456, 0.7544)
Bi (0.7480, 0.9702, 0.4666)
Bi (0.7486, 0.0913, 0.2177)
Bi (0.7514, 0.9087, 0.7177)
Bi (0.7520, 0.0298, 0.9666)
Bi (0.7518, 0.5544, 0.2544)
Bi (0.7534, 0.5656, 0.0037)

Main lines, by intensity (15° ≤ 2θ ≤ 90°):
27.58 deg, I 100
39.39 deg, I 39
38.75 deg, I 35
26.68 deg, I 27
30.91 deg, I 23
48.22 deg, I 16
30.75 deg, I 11
64.36 deg, I 11
41.75 deg, I 10
33.96 deg, I 9
44.27 deg, I 9
46.60 deg, I 8